Structure and theoretical X-ray diffraction stick pattern of KPrNiSe4 (DFT lattice parameters and positions (PBE); a wavelength of 1.5418 Å).
No peak broadening, texture or thermal motion is included.

Top 8 peaks for 10° ≤ 2θ ≤ 90°, low angle first:
d_spacing	I (rel.)	hkl
3.194	76	1 0 2
3.031	100	2 0 -2
2.848	91	1 1 2
2.801	77	1 2 0
2.588	67	0 2 2
2.557	66	1 2 -2
2.393	72	1 0 -4
2.197	68	2 2 0

Crystal structure
Unit cell a=6.475 b=6.297 c=9.586 alpha=90.00 beta=108.66 gamma=90.00
Space group P2_1 (No. 4)
Unique sites:
1 K 0.231 0.000 0.434 [2 per cell]
2 Pr 0.267 0.004 0.953 [2 per cell]
3 Ni 0.277 0.504 0.182 [2 per cell]
4 Se 0.094 0.500 0.345 [2 per cell]
5 Se 0.131 0.506 0.930 [2 per cell]
6 Se 0.462 0.267 0.764 [2 per cell]
7 Se 0.464 0.742 0.765 [2 per cell]

Structure and theoretical X-ray diffraction stick pattern of Co2Bi8Te (DFT lattice parameters and positions (PBE); a wavelength of 1.5418 Å).
No peak broadening, texture or thermal motion is included.

Top 8 peaks for 10° ≤ 2θ ≤ 90°, low angle first:
d_spacing	I (rel.)	hkl
3.487	40	3 0 1
3.069	99	2 2 2
2.965	50	3 2 1
2.862	90	3 1 2
2.712	100	2 1 3
2.648	41	3 3 0
2.373	58	4 1 2
2.188	43	5 0 1

Crystal structure
Unit cell a=11.233 b=11.233 c=9.667 alpha=90.00 beta=90.00 gamma=90.00
Space group P4_2/mnm (No. 136)
Unique sites:
1 Co 0.205 0.205 0.238 [8 per cell]
2 Bi 0.000 0.000 0.332 [4 per cell]
3 Bi 0.045 0.714 0.215 [16 per cell]
4 Bi 0.105 0.105 0.000 [4 per cell]
5 Bi 0.194 0.194 0.500 [4 per cell]
6 Bi 0.197 0.803 0.500 [4 per cell]
7 Te 0.000 0.500 0.000 [4 per cell]

Structure and theoretical X-ray diffraction stick pattern of Lu2ScZnIn2 (DFT lattice parameters and positions (PBE); a wavelength of 1.5418 Å).
No peak broadening, texture or thermal motion is included.

Top 8 peaks for 10° ≤ 2θ ≤ 90°, low angle first:
d_spacing	I (rel.)	hkl
4.237	17	1 0 0
2.667	100	1 0 2
2.446	70	1 1 0
1.803	31	2 0 2
1.451	30	2 1 2
1.412	12	3 0 0
1.405	24	1 1 4
1.112	13	3 1 2

Crystal structure
Unit cell a=4.8922 b=4.8922 c=6.8647 alpha=90.00 beta=90.00 gamma=120.00
Space group P-6m2 (No. 187)
Unique sites:
1 Lu 0.0000 0.0000 0.2450 [2 per cell]
2 Sc 0.6667 0.3333 0.5000 [1 per cell]
3 Zn 0.3333 0.6667 0.0000 [1 per cell]
4 In 0.3333 0.6667 0.5000 [1 per cell]
5 In 0.6667 0.3333 0.0000 [1 per cell]

Structure and theoretical X-ray diffraction stick pattern of Cu9Ag (DFT lattice parameters and positions (PBE); a wavelength of 1.5418 Å).
No peak broadening, texture or thermal motion is included.

Top 8 peaks for 10° ≤ 2θ ≤ 90°, low angle first:
d_spacing	I (rel.)	hkl
2.114	50	1 2 -3
2.110	100	0 3 1
2.105	50	-2 1 1
1.830	62	1 -3 2
1.821	31	2 2 0
1.291	26	1 5 -2
1.290	17	3 -1 2
1.099	16	2 5 1

Crystal structure
Unit cell a=4.461 b=6.838 c=8.197 alpha=97.04 beta=100.52 gamma=90.10
Space group P-1 (No. 2)
Unique sites:
1 Cu 0.000 0.000 0.000 [1 per cell]
2 Cu 0.034 0.457 0.653 [2 per cell]
3 Cu 0.104 0.896 0.285 [2 per cell]
4 Cu 0.149 0.352 0.949 [2 per cell]
5 Cu 0.207 0.790 0.613 [2 per cell]
6 Cu 0.251 0.250 0.239 [2 per cell]
7 Cu 0.297 0.700 0.905 [2 per cell]
8 Cu 0.403 0.592 0.194 [2 per cell]
9 Cu 0.448 0.049 0.857 [2 per cell]
10 Cu 0.500 0.500 0.500 [1 per cell]
11 Ag 0.334 0.153 0.551 [2 per cell]

Structure and theoretical X-ray diffraction stick pattern of BaSnHgAs2 (DFT lattice parameters and positions (PBE); a wavelength of 1.5418 Å).
No peak broadening, texture or thermal motion is included.

Top 8 peaks for 10° ≤ 2θ ≤ 90°, low angle first:
d_spacing	I (rel.)	hkl
5.585	35	0 2 1
3.785	42	1 1 1
3.235	40	1 3 1
2.798	100	1 5 0
2.792	25	0 4 2
2.720	33	0 6 1
2.556	68	1 3 2
2.296	39	2 0 0

Crystal structure
Unit cell a=4.593 b=17.620 c=7.221 alpha=90.00 beta=90.00 gamma=90.00
Space group Cmc2_1 (No. 36)
Unique sites:
1 Ba 0.000 0.185 0.000 [4 per cell]
2 Sn 0.000 0.030 0.680 [4 per cell]
3 Hg 0.000 0.385 0.857 [4 per cell]
4 As 0.000 0.176 0.504 [4 per cell]
5 As 0.000 0.456 0.514 [4 per cell]

Structure and theoretical X-ray diffraction stick pattern of NdNbN2O (DFT lattice parameters and positions (PBE); a wavelength of 1.5418 Å).
No peak broadening, texture or thermal motion is included.

Top 8 peaks for 10° ≤ 2θ ≤ 90°, low angle first:
d_spacing	I (rel.)	hkl
2.997	100	1 0 1
2.942	97	0 1 1
2.757	78	1 1 0
2.290	23	0 0 2
1.982	29	2 0 0
1.762	48	1 1 -2
1.644	35	2 1 -1
1.616	32	1 2 1

Crystal structure
Unit cell a=3.964 b=3.838 c=4.581 alpha=90.00 beta=90.07 gamma=90.00
Space group Pm (No. 6)
Unique sites:
1 Nd 0.000 0.000 0.000 [1 per cell]
2 Nb 0.500 0.500 0.451 [1 per cell]
3 N 0.000 0.500 0.344 [1 per cell]
4 N 0.500 0.500 0.859 [1 per cell]
5 O 0.501 0.000 0.310 [1 per cell]

Structure and theoretical X-ray diffraction stick pattern of GdTmIn2Ir4 (DFT lattice parameters and positions (PBE); a wavelength of 1.5418 Å).
No peak broadening, texture or thermal motion is included.

Top 8 peaks for 10° ≤ 2θ ≤ 90°, low angle first:
d_spacing	I (rel.)	hkl
3.951	23	1 0 0
2.951	21	1 0 2
2.369	100	1 0 3
2.281	99	1 1 0
1.935	11	1 0 4
1.643	33	2 0 3
1.333	33	2 1 3
1.317	17	3 0 0

Crystal structure
Unit cell a=4.5621 b=4.5621 c=8.8793 alpha=90.00 beta=90.00 gamma=120.00
Space group P-6m2 (No. 187)
Unique sites:
1 Gd 0.0000 0.0000 0.0000 [1 per cell]
2 Tm 0.6667 0.3333 0.5000 [1 per cell]
3 In 0.3333 0.6667 0.2506 [2 per cell]
4 Ir 0.0000 0.0000 0.3573 [2 per cell]
5 Ir 0.6667 0.3333 0.1481 [2 per cell]